Record 1
# Ho7Tm4In
Theoretical powder diffraction line list, copper Kα. Input: DFT lattice parameters and positions (PBE).
Kinematic intensities with the Lorentz-polarization factor, no thermal factor.

Cell and atoms:
a b c (Å): 6.671 6.671 12.153
angles (deg): 111.97 111.97 51.66
Sites, in units of the cell vectors:
Ho 0.000 0.000 0.000
Ho 0.132 0.132 0.472
Ho 0.298 0.298 0.081
Ho 0.404 0.404 0.722
Ho 0.596 0.596 0.278
Ho 0.702 0.702 0.919
Ho 0.868 0.868 0.528
Tm 0.133 0.133 0.769
Tm 0.360 0.360 0.382
Tm 0.640 0.640 0.618
Tm 0.867 0.867 0.231
In 0.500 0.500 0.000

Peak list (10 most intense, 2θ from 5° to 70°, by angle)
2θ (°)	Rel. int.
26.89	20
30.28	53
30.54	59
30.76	93
32.57	100
32.78	36
35.15	50
43.71	40
55.86	28
56.62	16

=====

Record 2
# Er2Ni15Rh2
Theoretical powder diffraction line list, copper Kα. Input: DFT lattice parameters and positions (PBE).
Kinematic intensities with the Lorentz-polarization factor, no thermal factor.

Cell and atoms:
a b c (Å): 6.298 6.298 6.298
angles (deg): 82.96 82.96 82.96
Sites, in units of the cell vectors:
Er 0.158 0.158 0.158
Er 0.842 0.842 0.842
Ni 0.000 0.500 0.500
Ni 0.153 0.153 0.659
Ni 0.153 0.659 0.153
Ni 0.202 0.500 0.798
Ni 0.202 0.798 0.500
Ni 0.341 0.847 0.847
Ni 0.500 0.000 0.500
Ni 0.500 0.202 0.798
Ni 0.500 0.500 0.000
Ni 0.500 0.798 0.202
Ni 0.659 0.153 0.153
Ni 0.798 0.202 0.500
Ni 0.798 0.500 0.202
Ni 0.847 0.341 0.847
Ni 0.847 0.847 0.341
Rh 0.396 0.396 0.396
Rh 0.604 0.604 0.604

Peak list (10 most intense, 2θ from 5° to 70°, by angle)
2θ (°)	Rel. int.
30.74	28
31.91	20
37.34	61
38.69	40
43.38	79
43.71	100
44.63	61
44.90	20
49.11	28
63.99	28

=====

Record 3
# Ti3NiH4
Theoretical powder diffraction line list, copper Kα. Input: DFT lattice parameters and positions (PBE).
Kinematic intensities with the Lorentz-polarization factor, no thermal factor.

Cell and atoms:
a b c (Å): 5.735 5.292 4.844
angles (deg): 90.00 90.00 90.00
Sites, in units of the cell vectors:
Ti 0.000 0.146 0.000
Ti 0.249 0.640 0.017
Ti 0.251 0.360 0.517
Ti 0.500 0.854 0.500
Ti 0.749 0.360 0.517
Ti 0.751 0.640 0.017
Ni 0.000 0.844 0.509
Ni 0.500 0.156 0.009
H 0.000 0.139 0.605
H 0.000 0.826 0.165
H 0.231 0.697 0.632
H 0.269 0.303 0.132
H 0.500 0.174 0.665
H 0.500 0.861 0.105
H 0.731 0.303 0.132
H 0.769 0.697 0.632

Peak list (10 most intense, 2θ from 5° to 70°, by angle)
2θ (°)	Rel. int.
33.88	6
35.61	45
37.12	52
38.78	82
40.33	100
52.39	26
61.74	18
65.03	14
68.02	14
69.08	18